# 1
# LiNd2Ga3Ni4
Computed powder XRD pattern, Cu Kα (λ = 1.5418 Å). Input: DFT lattice parameters and positions (GGA-PBE).
Kinematic intensities with the Lorentz-polarization factor, no thermal factor.

Most intense lines, 2θ from 10° to 90°, in order of falling intensity:
| 2theta | d (Å) | I/Imax |
| --- | --- | --- |
| 35.70 | 2.515 | 100.0 |
| 34.24 | 2.619 | 91.3 |
| 44.38 | 2.041 | 60.5 |
| 57.22 | 1.610 | 40.9 |
| 49.81 | 1.831 | 37.6 |
| 30.98 | 2.887 | 34.9 |
| 68.89 | 1.363 | 27.6 |
| 76.02 | 1.252 | 20.9 |
| 64.56 | 1.443 | 19.0 |
| 63.30 | 1.469 | 13.3 |
| 23.46 | 3.792 | 13.0 |
| 75.15 | 1.264 | 9.0 |

Crystal structure
abc: 4.0827 4.0827 10.2406
angles: 90.00 90.00 90.00
Sites, in units of the cell vectors:
1 Li 0.0000 0.0000 0.0000
2 Nd 0.0000 0.5000 0.7458
3 Nd 0.5000 0.0000 0.2542
4 Ga 0.0000 0.5000 0.3758
5 Ga 0.5000 0.0000 0.6242
6 Ga 0.5000 0.5000 0.0000
7 Ni 0.0000 0.0000 0.5000
8 Ni 0.0000 0.5000 0.1376
9 Ni 0.5000 0.0000 0.8624
10 Ni 0.5000 0.5000 0.5000

---

# 2
# LaTh2Sc6
Computed powder XRD pattern, Cu Kα (λ = 1.5418 Å). Input: DFT lattice parameters and positions (GGA-PBE).
Kinematic intensities with the Lorentz-polarization factor, no thermal factor.

Most intense lines, 2θ from 10° to 90°, in order of falling intensity:
| 2theta | d (Å) | I/Imax |
| --- | --- | --- |
| 30.23 | 2.956 | 100.0 |
| 24.72 | 3.602 | 85.3 |
| 39.43 | 2.285 | 68.7 |
| 17.14 | 5.174 | 63.4 |
| 43.05 | 2.101 | 37.5 |
| 34.67 | 2.587 | 33.4 |
| 26.20 | 3.402 | 31.7 |
| 60.16 | 1.538 | 24.1 |
| 36.33 | 2.473 | 22.6 |
| 68.65 | 1.367 | 20.9 |
| 62.87 | 1.478 | 19.8 |
| 50.69 | 1.801 | 19.7 |

Crystal structure
abc: 5.0939 5.0939 20.6973
angles: 90.00 90.00 90.00
Sites, in units of the cell vectors:
1 La 0.0000 0.0000 0.0000
2 La 0.5000 0.5000 0.5000
3 Th 0.0000 0.0000 0.2444
4 Th 0.0000 0.0000 0.7556
5 Th 0.5000 0.5000 0.2556
6 Th 0.5000 0.5000 0.7444
7 Sc 0.1650 0.1650 0.5000
8 Sc 0.2326 0.7674 0.3802
9 Sc 0.2326 0.7674 0.6198
10 Sc 0.2674 0.2674 0.1198
11 Sc 0.2674 0.2674 0.8802
12 Sc 0.3350 0.6650 0.0000
13 Sc 0.6650 0.3350 0.0000
14 Sc 0.7326 0.7326 0.1198
15 Sc 0.7326 0.7326 0.8802
16 Sc 0.7674 0.2326 0.3802
17 Sc 0.7674 0.2326 0.6198
18 Sc 0.8350 0.8350 0.5000

---

# 3
# Sr6BiTe3I2
Computed powder XRD pattern, Cu Kα (λ = 1.5418 Å). Input: DFT lattice parameters and positions (GGA-PBE).
Kinematic intensities with the Lorentz-polarization factor, no thermal factor.

Most intense lines, 2θ from 10° to 90°, in order of falling intensity:
| 2theta | d (Å) | I/Imax |
| --- | --- | --- |
| 26.36 | 3.381 | 100.0 |
| 37.64 | 2.389 | 63.9 |
| 61.37 | 1.511 | 17.5 |
| 46.43 | 1.956 | 13.8 |
| 46.61 | 1.949 | 13.6 |
| 37.50 | 2.399 | 12.9 |
| 54.26 | 1.691 | 12.8 |
| 68.01 | 1.378 | 12.6 |
| 61.29 | 1.513 | 11.8 |
| 67.74 | 1.383 | 8.5 |
| 86.22 | 1.128 | 6.6 |
| 61.12 | 1.516 | 6.3 |

Crystal structure
abc: 8.2691 8.2691 8.2888
angles: 99.50 99.50 119.89
Sites, in units of the cell vectors:
1 Sr 0.0869 0.4045 0.7607
2 Sr 0.2275 0.2275 0.2338
3 Sr 0.4045 0.0869 0.7607
4 Sr 0.5955 0.9131 0.2393
5 Sr 0.7725 0.7725 0.7662
6 Sr 0.9131 0.5955 0.2393
7 Bi 0.0000 0.0000 0.5000
8 Te 0.1739 0.8261 0.0000
9 Te 0.5000 0.5000 0.0000
10 Te 0.8261 0.1739 0.0000
11 I 0.3350 0.6650 0.5000
12 I 0.6650 0.3350 0.5000

---

# 4
# KCaCd10
Computed powder XRD pattern, Cu Kα (λ = 1.5418 Å). Input: DFT lattice parameters and positions (GGA-PBE).
Kinematic intensities with the Lorentz-polarization factor, no thermal factor.

Most intense lines, 2θ from 10° to 90°, in order of falling intensity:
| 2theta | d (Å) | I/Imax |
| --- | --- | --- |
| 34.80 | 2.578 | 100.0 |
| 38.92 | 2.314 | 84.0 |
| 16.89 | 5.250 | 68.8 |
| 36.65 | 2.452 | 36.6 |
| 73.45 | 1.289 | 25.3 |
| 34.16 | 2.625 | 25.2 |
| 55.78 | 1.648 | 22.9 |
| 61.15 | 1.516 | 22.0 |
| 67.50 | 1.388 | 15.6 |
| 50.97 | 1.792 | 15.4 |
| 40.61 | 2.222 | 15.3 |
| 64.80 | 1.439 | 15.0 |

Crystal structure
abc: 4.9039 6.0666 10.4915
angles: 90.00 90.00 90.00
Sites, in units of the cell vectors:
1 K 0.0000 0.0000 0.0000
2 Ca 0.0000 0.5000 0.5000
3 Cd 0.0000 0.0000 0.3379
4 Cd 0.0000 0.0000 0.6621
5 Cd 0.0000 0.5000 0.1718
6 Cd 0.0000 0.5000 0.8282
7 Cd 0.5000 0.0000 0.5000
8 Cd 0.5000 0.2559 0.2601
9 Cd 0.5000 0.2559 0.7399
10 Cd 0.5000 0.5000 0.0000
11 Cd 0.5000 0.7441 0.2601
12 Cd 0.5000 0.7441 0.7399

---

# 5
# Li4PH2
Computed powder XRD pattern, Cu Kα (λ = 1.5418 Å). Input: DFT lattice parameters and positions (GGA-PBE).
Kinematic intensities with the Lorentz-polarization factor, no thermal factor.

Most intense lines, 2θ from 10° to 90°, in order of falling intensity:
| 2theta | d (Å) | I/Imax |
| --- | --- | --- |
| 18.07 | 4.910 | 100.0 |
| 24.67 | 3.608 | 79.0 |
| 39.81 | 2.264 | 35.0 |
| 42.37 | 2.133 | 30.2 |
| 30.41 | 2.939 | 23.5 |
| 31.80 | 2.814 | 22.5 |
| 47.91 | 1.899 | 21.1 |
| 32.12 | 2.787 | 20.7 |
| 31.08 | 2.877 | 19.2 |
| 48.60 | 1.874 | 19.0 |
| 46.70 | 1.945 | 18.5 |
| 48.10 | 1.892 | 17.8 |

Crystal structure
abc: 6.0364 6.0364 6.1721
angles: 107.49 107.49 112.59
Sites, in units of the cell vectors:
1 Li 0.1354 0.7136 0.9337
2 Li 0.2207 0.2986 0.4341
3 Li 0.2864 0.8646 0.5663
4 Li 0.2986 0.2207 0.9341
5 Li 0.7014 0.7793 0.0659
6 Li 0.7136 0.1354 0.4337
7 Li 0.7793 0.7014 0.5659
8 Li 0.8646 0.2864 0.0663
9 P 0.3751 0.6249 0.2500
10 P 0.6249 0.3751 0.7500
11 H 0.0000 0.0000 0.0000
12 H 0.0000 0.0000 0.5000
13 H 0.0000 0.5000 0.5000
14 H 0.5000 0.0000 0.0000

---

# 6
# Ca2Ga3Cu12Au
Computed powder XRD pattern, Cu Kα (λ = 1.5418 Å). Input: DFT lattice parameters and positions (GGA-PBE).
Kinematic intensities with the Lorentz-polarization factor, no thermal factor.

Most intense lines, 2θ from 10° to 90°, in order of falling intensity:
| 2theta | d (Å) | I/Imax |
| --- | --- | --- |
| 40.25 | 2.240 | 100.0 |
| 43.85 | 2.064 | 39.3 |
| 29.68 | 3.010 | 19.5 |
| 13.53 | 6.547 | 19.0 |
| 48.56 | 1.875 | 15.8 |
| 38.71 | 2.326 | 15.2 |
| 18.51 | 4.794 | 15.0 |
| 31.37 | 2.852 | 13.7 |
| 73.17 | 1.293 | 12.9 |
| 41.38 | 2.182 | 12.7 |
| 61.03 | 1.518 | 11.6 |
| 83.04 | 1.163 | 11.2 |

Crystal structure
abc: 6.5788 6.5788 6.5788
angles: 85.86 85.86 85.86
Sites, in units of the cell vectors:
1 Ca 0.2108 0.2108 0.2108
2 Ca 0.7892 0.7892 0.7892
3 Ga 0.0000 0.5000 0.5000
4 Ga 0.5000 0.0000 0.5000
5 Ga 0.5000 0.5000 0.0000
6 Cu 0.0833 0.0833 0.6376
7 Cu 0.0833 0.6376 0.0833
8 Cu 0.2092 0.6996 0.6996
9 Cu 0.3004 0.3004 0.7908
10 Cu 0.3004 0.7908 0.3004
11 Cu 0.3624 0.9167 0.9167
12 Cu 0.6376 0.0833 0.0833
13 Cu 0.6996 0.2092 0.6996
14 Cu 0.6996 0.6996 0.2092
15 Cu 0.7908 0.3004 0.3004
16 Cu 0.9167 0.3624 0.9167
17 Cu 0.9167 0.9167 0.3624
18 Au 0.5000 0.5000 0.5000